Starting from a crystal structure in OQMD, relaxed with GGA-PBE, the X-ray powder pattern of Sm2SiW2C2 was calculated for Cu Kα (λ = 1.5418 Å).
Kinematic intensities with the Lorentz-polarization factor, no thermal factor.

Atomic structure:
```
data_Sm2SiW2C2
_cell_length_a 14.100
_cell_length_b 3.343
_cell_length_c 5.902
_cell_angle_alpha 90.00
_cell_angle_beta 114.59
_cell_angle_gamma 90.00
_space_group_name_H-M_alt 'C 1 2/m 1'
_space_group_IT_number 12
loop_
_space_group_symop_operation_xyz
'x,y,z'
'-x,-y,-z'
'-x,y,-z'
'x,-y,z'
'x+1/2,y+1/2,z'
'-x+1/2,-y+1/2,-z'
'-x+1/2,y+1/2,-z'
'x+1/2,-y+1/2,z'
loop_
_atom_site_label
_atom_site_fract_x
_atom_site_fract_y
_atom_site_fract_z
Sm1 0.129 0.000 0.300
Si1 0.000 0.500 0.500
W1 0.174 0.500 0.836
C1 0.249 0.000 0.762
```

Largest 8 diffraction maxima, low angle first, 15 to 90 degrees two-theta:
25.75 deg, rel. 19; 27.83 deg, rel. 20; 30.74 deg, rel. 28; 33.44 deg, rel. 53; 33.84 deg, rel. 100; 41.97 deg, rel. 28; 44.53 deg, rel. 19; 54.09 deg, rel. 21

Starting from a crystal structure in OQMD, relaxed with GGA-PBE, the X-ray powder pattern of SiSnW4C2 was calculated for Cu Kα (λ = 1.5418 Å).
Kinematic intensities with the Lorentz-polarization factor, no thermal factor.

Atomic structure:
```
data_SiSnW4C2
_cell_length_a 3.1887
_cell_length_b 3.1887
_cell_length_c 12.7732
_cell_angle_alpha 90.00
_cell_angle_beta 90.00
_cell_angle_gamma 120.00
_space_group_name_H-M_alt 'P -6 m 2'
_space_group_IT_number 187
_space_group_name_Hall 'P -6 2'
loop_
_atom_site_label
_atom_site_fract_x
_atom_site_fract_y
_atom_site_fract_z
Si1 0.0000 0.0000 0.0000
Sn1 0.3333 0.6667 0.5000
W1 0.0000 0.0000 0.3172
W2 0.3333 0.6667 0.1422
C1 0.6667 0.3333 0.2363
```

Largest 8 diffraction maxima, low angle first, 15 to 90 degrees two-theta:
32.42 deg, rel. 29; 33.19 deg, rel. 11; 35.41 deg, rel. 14; 38.87 deg, rel. 100; 57.83 deg, rel. 25; 67.82 deg, rel. 17; 71.88 deg, rel. 17; 74.33 deg, rel. 13

Starting from a crystal structure in OQMD, relaxed with GGA-PBE, the X-ray powder pattern of Tb2SiW2C2 was calculated for Cu Kα (λ = 1.5418 Å).
Kinematic intensities with the Lorentz-polarization factor, no thermal factor.

Atomic structure:
```
data_Tb2SiW2C2
_cell_length_a 13.846
_cell_length_b 3.310
_cell_length_c 5.829
_cell_angle_alpha 90.00
_cell_angle_beta 113.48
_cell_angle_gamma 90.00
_space_group_name_H-M_alt 'C 1 2/m 1'
_space_group_IT_number 12
loop_
_space_group_symop_operation_xyz
'x,y,z'
'-x,-y,-z'
'-x,y,-z'
'x,-y,z'
'x+1/2,y+1/2,z'
'-x+1/2,-y+1/2,-z'
'-x+1/2,y+1/2,-z'
'x+1/2,-y+1/2,z'
loop_
_atom_site_label
_atom_site_fract_x
_atom_site_fract_y
_atom_site_fract_z
Tb1 0.131 0.000 0.306
Si1 0.000 0.500 0.500
W1 0.173 0.500 0.838
C1 0.250 0.000 0.758
```

Largest 8 diffraction maxima, low angle first, 15 to 90 degrees two-theta:
28.11 deg, rel. 34; 31.07 deg, rel. 39; 34.04 deg, rel. 100; 34.17 deg, rel. 55; 34.37 deg, rel. 62; 41.55 deg, rel. 31; 42.67 deg, rel. 55; 54.80 deg, rel. 34

Starting from a crystal structure in OQMD, relaxed with GGA-PBE, the X-ray powder pattern of YTmSi2W2C was calculated for Cu Kα (λ = 1.5418 Å).
Kinematic intensities with the Lorentz-polarization factor, no thermal factor.

Atomic structure:
```
data_YTmSi2W2C
_cell_length_a 11.078
_cell_length_b 3.822
_cell_length_c 7.090
_cell_angle_alpha 90.00
_cell_angle_beta 125.30
_cell_angle_gamma 90.00
_space_group_name_H-M_alt 'C 1 m 1'
_space_group_IT_number 8
loop_
_space_group_symop_operation_xyz
'x,y,z'
'x,-y,z'
'x+1/2,y+1/2,z'
'x+1/2,-y+1/2,z'
loop_
_atom_site_label
_atom_site_fract_x
_atom_site_fract_y
_atom_site_fract_z
Y1 0.000 0.000 0.000
Tm1 0.351 0.500 0.408
Si1 0.056 0.500 0.364
Si2 0.293 0.000 0.044
W1 0.132 0.500 0.787
W2 0.217 0.000 0.617
C1 0.423 0.000 0.699
```

Largest 8 diffraction maxima, low angle first, 15 to 90 degrees two-theta:
15.31 deg, rel. 49; 31.37 deg, rel. 50; 33.79 deg, rel. 93; 35.45 deg, rel. 100; 38.02 deg, rel. 24; 40.28 deg, rel. 30; 47.57 deg, rel. 29; 64.05 deg, rel. 21

Starting from a crystal structure in OQMD, relaxed with GGA-PBE, the X-ray powder pattern of SiW4C3 was calculated for Cu Kα (λ = 1.5418 Å).
Kinematic intensities with the Lorentz-polarization factor, no thermal factor.

Atomic structure:
```
data_SiW4C3
_cell_length_a 3.0994
_cell_length_b 3.0994
_cell_length_c 22.6340
_cell_angle_alpha 90.00
_cell_angle_beta 90.00
_cell_angle_gamma 120.00
_space_group_name_H-M_alt 'P 63/m m c'
_space_group_IT_number 194
_space_group_name_Hall '-P 6c 2c'
loop_
_atom_site_label
_atom_site_fract_x
_atom_site_fract_y
_atom_site_fract_z
Si1 0.3333 0.6667 0.2500
W1 0.0000 0.0000 0.1642
W2 0.3333 0.6667 0.0572
C1 0.0000 0.0000 0.0000
C2 0.3333 0.6667 0.6134
```

Largest 8 diffraction maxima, low angle first, 15 to 90 degrees two-theta:
31.62 deg, rel. 27; 34.34 deg, rel. 56; 35.50 deg, rel. 35; 37.07 deg, rel. 27; 39.01 deg, rel. 56; 41.28 deg, rel. 100; 59.67 deg, rel. 43; 59.94 deg, rel. 26

Starting from a crystal structure in OQMD, relaxed with GGA-PBE, the X-ray powder pattern of Sm2C5 was calculated for Cu Kα (λ = 1.5418 Å).
Kinematic intensities with the Lorentz-polarization factor, no thermal factor.

Atomic structure:
```
data_Sm2C5
_cell_length_a 3.931
_cell_length_b 13.630
_cell_length_c 3.441
_cell_angle_alpha 90.00
_cell_angle_beta 90.00
_cell_angle_gamma 90.00
_space_group_name_H-M_alt 'C m m m'
_space_group_IT_number 65
_space_group_name_Hall '-C 2 2'
loop_
_atom_site_label
_atom_site_fract_x
_atom_site_fract_y
_atom_site_fract_z
Sm1 0.000 0.152 0.000
C1 0.000 0.303 0.500
C2 0.000 0.402 0.500
C3 0.000 0.500 0.500
```

Largest 8 diffraction maxima, low angle first, 15 to 90 degrees two-theta:
23.55 deg, rel. 39; 25.89 deg, rel. 51; 26.15 deg, rel. 47; 30.06 deg, rel. 91; 35.28 deg, rel. 68; 37.13 deg, rel. 37; 40.08 deg, rel. 100; 59.39 deg, rel. 25